Record 1
# CsPdC
Calculated PXRD pattern, CuKα. Input: DFT lattice parameters and positions (PBE).
No peak broadening, texture or thermal motion is included.

Atomic structure:
```
data_CsPdC
_cell_length_a 13.114
_cell_length_b 4.650
_cell_length_c 6.209
_cell_angle_alpha 90.00
_cell_angle_beta 115.69
_cell_angle_gamma 90.00
_symmetry_space_group_name_H-M 'C 1 2/m 1'
_symmetry_Int_Tables_number 12
loop_
_symmetry_equiv_pos_as_xyz
'x,y,z'
'-x,-y,-z'
'-x,y,-z'
'x,-y,z'
'x+1/2,y+1/2,z'
'-x+1/2,-y+1/2,-z'
'-x+1/2,y+1/2,-z'
'x+1/2,-y+1/2,z'
loop_
_atom_site_label
_atom_site_type_symbol
_atom_site_fract_x
_atom_site_fract_y
_atom_site_fract_z
Cs1 Cs 0.111 0.000 0.384
Pd1 Pd 0.193 0.500 0.981
C1 C 0.046 0.500 0.989
```

Principal peaks in the range 2θ from 5° to 70°, in order of rising 2θ:
| Position (°2θ) | Rel. int. | hkl |
| --- | --- | --- |
| 26.26 | 26 | 2 0 1 |
| 27.35 | 20 | 4 0 -1 |
| 28.00 | 61 | 1 1 1 |
| 28.72 | 100 | 2 0 -2 |
| 38.73 | 21 | 0 2 0 |
| 42.92 | 27 | 5 1 0 |
| 48.10 | 14 | 4 2 -1 |
| 48.96 | 16 | 2 2 -2 |
| 51.41 | 26 | 5 1 -3 |
| 53.54 | 12 | 7 1 -2 |

---

Record 2
# Cs2RuC
Calculated PXRD pattern, CuKα. Input: DFT lattice parameters and positions (PBE).
No peak broadening, texture or thermal motion is included.

Atomic structure:
```
data_Cs2RuC
_cell_length_a 12.765
_cell_length_b 12.765
_cell_length_c 3.886
_cell_angle_alpha 90.00
_cell_angle_beta 90.00
_cell_angle_gamma 90.00
_symmetry_space_group_name_H-M 'I 41/a m d'
_symmetry_Int_Tables_number 141
loop_
_symmetry_equiv_pos_as_xyz
'x,y,z'
'-x,-y,-z'
'-y+1/4,x+3/4,z+1/4'
'y+1/4,-x+3/4,-z+1/4'
'-x+1/2,-y,z+1/2'
'x+1/2,y,-z+1/2'
'y+1/4,-x+1/4,z+3/4'
'-y+1/4,x+1/4,-z+3/4'
'x,-y,-z'
'-x,y,z'
'-y+1/4,-x+1/4,-z+3/4'
'y+1/4,x+1/4,z+3/4'
'-x+1/2,y,-z+1/2'
'x+1/2,-y,z+1/2'
'y+1/4,x+3/4,-z+1/4'
'-y+1/4,-x+3/4,z+1/4'
'x+1/2,y+1/2,z+1/2'
'-x+1/2,-y+1/2,-z+1/2'
'-y+3/4,x+1/4,z+3/4'
'y+3/4,-x+1/4,-z+3/4'
'-x,-y+1/2,z'
'x,y+1/2,-z'
'y+3/4,-x+3/4,z+1/4'
'-y+3/4,x+3/4,-z+1/4'
'x+1/2,-y+1/2,-z+1/2'
'-x+1/2,y+1/2,z+1/2'
'-y+3/4,-x+3/4,-z+1/4'
'y+3/4,x+3/4,z+1/4'
'-x,y+1/2,-z'
'x,-y+1/2,z'
'y+3/4,x+1/4,-z+3/4'
'-y+3/4,-x+1/4,z+3/4'
loop_
_atom_site_label
_atom_site_type_symbol
_atom_site_fract_x
_atom_site_fract_y
_atom_site_fract_z
Cs1 Cs 0.000 0.000 0.000
Ru1 Ru 0.000 0.250 0.875
C1 C 0.000 0.250 0.375
```

Principal peaks in the range 2θ from 5° to 70°, in order of rising 2θ:
| Position (°2θ) | Rel. int. | hkl |
| --- | --- | --- |
| 13.88 | 52 | 2 0 0 |
| 19.67 | 34 | 2 2 0 |
| 23.94 | 80 | 1 0 1 |
| 27.96 | 100 | 4 0 0 |
| 31.17 | 41 | 3 0 1 |
| 37.13 | 51 | 4 1 1 |
| 39.95 | 37 | 4 4 0 |
| 42.36 | 52 | 5 0 1 |
| 57.37 | 25 | 4 2 2 |
| 63.44 | 21 | 8 1 1 |

---

Record 3
# CsCS3
Calculated PXRD pattern, CuKα. Input: DFT lattice parameters and positions (PBE).
No peak broadening, texture or thermal motion is included.

Atomic structure:
```
data_CsCS3
_cell_length_a 6.241
_cell_length_b 6.628
_cell_length_c 8.862
_cell_angle_alpha 90.00
_cell_angle_beta 90.65
_cell_angle_gamma 90.00
_symmetry_space_group_name_H-M 'P 1 21/m 1'
_symmetry_Int_Tables_number 11
loop_
_symmetry_equiv_pos_as_xyz
'x,y,z'
'-x,-y,-z'
'-x,y+1/2,-z'
'x,-y+1/2,z'
loop_
_atom_site_label
_atom_site_type_symbol
_atom_site_fract_x
_atom_site_fract_y
_atom_site_fract_z
Cs1 Cs 0.183 0.250 0.239
C1 C 0.238 0.250 0.792
S1 S 0.060 0.250 0.647
S2 S 0.323 0.027 0.867
```

Principal peaks in the range 2θ from 5° to 70°, in order of rising 2θ:
| Position (°2θ) | Rel. int. | hkl |
| --- | --- | --- |
| 16.70 | 37 | 0 1 1 |
| 17.47 | 19 | 1 0 1 |
| 19.54 | 100 | 1 1 0 |
| 20.04 | 48 | 0 0 2 |
| 28.01 | 52 | 1 1 -2 |
| 30.51 | 37 | 2 0 1 |
| 32.15 | 24 | 1 2 -1 |
| 32.26 | 22 | 1 2 1 |
| 33.20 | 27 | 0 1 3 |
| 33.75 | 39 | 1 0 3 |

---

Record 4
# Cs2CS5
Calculated PXRD pattern, CuKα. Input: DFT lattice parameters and positions (PBE).
No peak broadening, texture or thermal motion is included.

Atomic structure:
```
data_Cs2CS5
_cell_length_a 11.919
_cell_length_b 7.323
_cell_length_c 7.311
_cell_angle_alpha 90.00
_cell_angle_beta 104.23
_cell_angle_gamma 90.00
_symmetry_space_group_name_H-M 'C 1 m 1'
_symmetry_Int_Tables_number 8
loop_
_symmetry_equiv_pos_as_xyz
'x,y,z'
'x,-y,z'
'x+1/2,y+1/2,z'
'x+1/2,-y+1/2,z'
loop_
_atom_site_label
_atom_site_type_symbol
_atom_site_fract_x
_atom_site_fract_y
_atom_site_fract_z
Cs1 Cs 0.000 0.000 0.000
Cs2 Cs 0.041 0.500 0.487
C1 C 0.362 0.500 0.410
S1 S 0.008 0.000 0.511
S2 S 0.214 0.365 0.981
S3 S 0.285 0.302 0.347
```

Principal peaks in the range 2θ from 5° to 70°, in order of rising 2θ:
| Position (°2θ) | Rel. int. | hkl |
| --- | --- | --- |
| 14.32 | 67 | 1 1 0 |
| 15.34 | 47 | 2 0 0 |
| 17.75 | 88 | 1 1 -1 |
| 20.26 | 100 | 1 1 1 |
| 25.13 | 79 | 0 0 2 |
| 26.08 | 46 | 2 0 -2 |
| 26.44 | 81 | 3 1 -1 |
| 28.87 | 100 | 2 2 0 |
| 31.50 | 42 | 3 1 1 |
| 35.25 | 47 | 0 2 2 |

---

Record 5
# CsSiTeCSe
Calculated PXRD pattern, CuKα. Input: DFT lattice parameters and positions (PBE).
No peak broadening, texture or thermal motion is included.

Atomic structure:
```
data_CsSiTeCSe
_cell_length_a 5.136
_cell_length_b 5.470
_cell_length_c 6.902
_cell_angle_alpha 90.00
_cell_angle_beta 100.32
_cell_angle_gamma 90.00
_symmetry_space_group_name_H-M 'P 1 m 1'
_symmetry_Int_Tables_number 6
loop_
_symmetry_equiv_pos_as_xyz
'x,y,z'
'x,-y,z'
loop_
_atom_site_label
_atom_site_type_symbol
_atom_site_fract_x
_atom_site_fract_y
_atom_site_fract_z
Cs1 Cs 0.000 0.000 0.000
Si1 Si 0.467 0.500 0.249
Te1 Te 0.911 0.500 0.508
C1 C 0.163 0.500 0.320
Se1 Se 0.504 0.500 0.935
```

Principal peaks in the range 2θ from 5° to 70°, in order of rising 2θ:
| Position (°2θ) | Rel. int. | hkl |
| --- | --- | --- |
| 16.20 | 21 | 0 1 0 |
| 17.55 | 23 | 1 0 0 |
| 20.85 | 55 | 0 1 1 |
| 23.98 | 22 | 1 1 0 |
| 25.80 | 83 | 1 1 -1 |
| 26.25 | 35 | 0 0 2 |
| 28.90 | 100 | 1 1 1 |
| 32.74 | 35 | 0 2 0 |
| 35.56 | 27 | 2 0 0 |
| 49.11 | 21 | 2 2 0 |

---

Record 6
# CsTlC2
Calculated PXRD pattern, CuKα. Input: DFT lattice parameters and positions (PBE).
No peak broadening, texture or thermal motion is included.

Atomic structure:
```
data_CsTlC2
_cell_length_a 5.144
_cell_length_b 5.144
_cell_length_c 15.172
_cell_angle_alpha 90.00
_cell_angle_beta 90.00
_cell_angle_gamma 90.00
_symmetry_space_group_name_H-M 'I 41/a m d'
_symmetry_Int_Tables_number 141
loop_
_symmetry_equiv_pos_as_xyz
'x,y,z'
'-x,-y,-z'
'-y+1/4,x+3/4,z+1/4'
'y+1/4,-x+3/4,-z+1/4'
'-x+1/2,-y,z+1/2'
'x+1/2,y,-z+1/2'
'y+1/4,-x+1/4,z+3/4'
'-y+1/4,x+1/4,-z+3/4'
'x,-y,-z'
'-x,y,z'
'-y+1/4,-x+1/4,-z+3/4'
'y+1/4,x+1/4,z+3/4'
'-x+1/2,y,-z+1/2'
'x+1/2,-y,z+1/2'
'y+1/4,x+3/4,-z+1/4'
'-y+1/4,-x+3/4,z+1/4'
'x+1/2,y+1/2,z+1/2'
'-x+1/2,-y+1/2,-z+1/2'
'-y+3/4,x+1/4,z+3/4'
'y+3/4,-x+1/4,-z+3/4'
'-x,-y+1/2,z'
'x,y+1/2,-z'
'y+3/4,-x+3/4,z+1/4'
'-y+3/4,x+3/4,-z+1/4'
'x+1/2,-y+1/2,-z+1/2'
'-x+1/2,y+1/2,z+1/2'
'-y+3/4,-x+3/4,-z+1/4'
'y+3/4,x+3/4,z+1/4'
'-x,y+1/2,-z'
'x,-y+1/2,z'
'y+3/4,x+1/4,-z+3/4'
'-y+3/4,-x+1/4,z+3/4'
loop_
_atom_site_label
_atom_site_type_symbol
_atom_site_fract_x
_atom_site_fract_y
_atom_site_fract_z
Cs1 Cs 0.000 0.250 0.375
Tl1 Tl 0.000 0.250 0.875
C1 C 0.000 0.000 0.000
```

Principal peaks in the range 2θ from 5° to 70°, in order of rising 2θ:
| Position (°2θ) | Rel. int. | hkl |
| --- | --- | --- |
| 18.21 | 9 | 1 0 1 |
| 23.45 | 31 | 0 0 4 |
| 27.19 | 100 | 1 1 2 |
| 34.89 | 26 | 2 0 0 |
| 42.47 | 30 | 2 0 4 |
| 43.59 | 28 | 1 1 6 |
| 56.09 | 15 | 2 2 4 |
| 57.99 | 24 | 3 1 2 |
| 60.67 | 11 | 2 0 8 |
| 68.60 | 15 | 3 1 6 |

---

Record 7
# CuC2
Calculated PXRD pattern, CuKα. Input: DFT lattice parameters and positions (PBE).
No peak broadening, texture or thermal motion is included.

Atomic structure:
```
data_CuC2
_cell_length_a 2.4616
_cell_length_b 2.4616
_cell_length_c 7.4342
_cell_angle_alpha 90.00
_cell_angle_beta 90.00
_cell_angle_gamma 120.00
_symmetry_space_group_name_H-M 'P 6/m m m'
_symmetry_Int_Tables_number 191
_symmetry_space_group_name_Hall '-P 6 2'
loop_
_atom_site_label
_atom_site_type_symbol
_atom_site_fract_x
_atom_site_fract_y
_atom_site_fract_z
Cu1 Cu 0.0000 0.0000 0.0000
C1 C 0.3333 0.6667 0.5000
```

Principal peaks in the range 2θ from 5° to 70°, in order of rising 2θ:
| Position (°2θ) | Rel. int. | hkl |
| --- | --- | --- |
| 11.90 | 98 | 0 0 1 |
| 23.94 | 100 | 0 0 2 |
| 36.25 | 9 | 0 0 3 |
| 42.40 | 26 | 1 0 0 |
| 44.20 | 80 | 1 0 1 |
| 49.01 | 12 | 0 0 4 |
| 49.28 | 33 | 1 0 2 |
| 56.98 | 35 | 1 0 3 |
| 62.46 | 2 | 0 0 5 |
| 66.78 | 13 | 1 0 4 |

---

Record 8
# CuC
Calculated PXRD pattern, CuKα. Input: DFT lattice parameters and positions (PBE).
No peak broadening, texture or thermal motion is included.

Atomic structure:
```
data_CuC
_cell_length_a 2.466
_cell_length_b 2.466
_cell_length_c 9.553
_cell_angle_alpha 82.72
_cell_angle_beta 89.53
_cell_angle_gamma 60.01
_symmetry_space_group_name_H-M 'P 1'
_symmetry_Int_Tables_number 1
loop_
_symmetry_equiv_pos_as_xyz
'x,y,z'
loop_
_atom_site_label
_atom_site_type_symbol
_atom_site_fract_x
_atom_site_fract_y
_atom_site_fract_z
Cu1 Cu 0.000 0.000 0.000
Cu2 Cu 0.405 0.183 0.233
C1 C 0.538 0.955 0.618
C2 C 0.871 0.289 0.618
```

Principal peaks in the range 2θ from 5° to 70°, in order of rising 2θ:
| Position (°2θ) | Rel. int. | hkl |
| --- | --- | --- |
| 9.35 | 100 | 0 0 1 |
| 18.77 | 6 | 0 0 2 |
| 28.31 | 15 | 0 0 3 |
| 38.06 | 8 | 0 0 4 |
| 42.78 | 14 | 1 1 1 |
| 42.89 | 7 | 1 0 -1 |
| 45.28 | 12 | 0 1 -1 |
| 45.55 | 6 | 1 0 -2 |
| 48.11 | 6 | 0 0 5 |
| 48.27 | 12 | 0 1 3 |

---

Record 9
# Cu3C5
Calculated PXRD pattern, CuKα. Input: DFT lattice parameters and positions (PBE).
No peak broadening, texture or thermal motion is included.

Atomic structure:
```
data_Cu3C5
_cell_length_a 6.019
_cell_length_b 9.387
_cell_length_c 6.873
_cell_angle_alpha 90.00
_cell_angle_beta 114.13
_cell_angle_gamma 90.00
_symmetry_space_group_name_H-M 'C 1 m 1'
_symmetry_Int_Tables_number 8
loop_
_symmetry_equiv_pos_as_xyz
'x,y,z'
'x,-y,z'
'x+1/2,y+1/2,z'
'x+1/2,-y+1/2,z'
loop_
_atom_site_label
_atom_site_type_symbol
_atom_site_fract_x
_atom_site_fract_y
_atom_site_fract_z
Cu1 Cu 0.000 0.000 0.000
Cu2 Cu 0.085 0.233 0.871
Cu3 Cu 0.296 0.321 0.406
Cu4 Cu 0.340 0.000 0.693
C1 C 0.148 0.424 0.968
C2 C 0.231 0.154 0.168
C3 C 0.255 0.500 0.169
C4 C 0.428 0.129 0.343
C5 C 0.436 0.000 0.458
C6 C 0.496 0.430 0.680
```

Principal peaks in the range 2θ from 5° to 70°, in order of rising 2θ:
| Position (°2θ) | Rel. int. | hkl |
| --- | --- | --- |
| 27.29 | 52 | 1 1 1 |
| 28.03 | 58 | 1 1 -2 |
| 28.46 | 45 | 0 0 2 |
| 29.70 | 100 | 2 0 -1 |
| 33.15 | 64 | 1 3 -1 |
| 34.39 | 81 | 0 2 2 |
| 35.45 | 52 | 2 2 -1 |
| 38.69 | 42 | 2 2 -2 |
| 41.06 | 40 | 0 4 1 |
| 49.30 | 41 | 1 3 -3 |

---

Record 10
# Cu5C7
Calculated PXRD pattern, CuKα. Input: DFT lattice parameters and positions (PBE).
No peak broadening, texture or thermal motion is included.

Atomic structure:
```
data_Cu5C7
_cell_length_a 7.634
_cell_length_b 7.634
_cell_length_c 4.505
_cell_angle_alpha 90.00
_cell_angle_beta 90.00
_cell_angle_gamma 90.00
_symmetry_space_group_name_H-M 'I 4 m m'
_symmetry_Int_Tables_number 107
_symmetry_space_group_name_Hall 'I 4 -2'
loop_
_atom_site_label
_atom_site_type_symbol
_atom_site_fract_x
_atom_site_fract_y
_atom_site_fract_z
Cu1 Cu 0.000 0.000 0.000
Cu2 Cu 0.170 0.170 0.572
C1 C 0.000 0.000 0.414
C2 C 0.000 0.368 0.596
C3 C 0.000 0.500 0.345
```

Principal peaks in the range 2θ from 5° to 70°, in order of rising 2θ:
| Position (°2θ) | Rel. int. | hkl |
| --- | --- | --- |
| 16.42 | 40 | 1 1 0 |
| 22.92 | 40 | 1 0 1 |
| 32.92 | 86 | 2 1 1 |
| 33.19 | 32 | 2 2 0 |
| 40.02 | 34 | 0 0 2 |
| 40.72 | 100 | 3 0 1 |
| 47.45 | 16 | 3 2 1 |
| 50.74 | 38 | 3 3 0 |
| 53.51 | 20 | 4 1 1 |
| 66.51 | 30 | 3 3 2 |

---

Record 11
# CuC6
Calculated PXRD pattern, CuKα. Input: DFT lattice parameters and positions (PBE).
No peak broadening, texture or thermal motion is included.

Atomic structure:
```
data_CuC6
_cell_length_a 5.135
_cell_length_b 13.731
_cell_length_c 4.896
_cell_angle_alpha 90.00
_cell_angle_beta 90.00
_cell_angle_gamma 90.00
_symmetry_space_group_name_H-M 'C m m m'
_symmetry_Int_Tables_number 65
_symmetry_space_group_name_Hall '-C 2 2'
loop_
_atom_site_label
_atom_site_type_symbol
_atom_site_fract_x
_atom_site_fract_y
_atom_site_fract_z
Cu1 Cu 0.000 0.000 0.000
C1 C 0.000 0.000 0.370
C2 C 0.128 0.249 0.000
```

Principal peaks in the range 2θ from 5° to 70°, in order of rising 2θ:
| Position (°2θ) | Rel. int. | hkl |
| --- | --- | --- |
| 12.89 | 22 | 0 2 0 |
| 18.12 | 61 | 0 0 1 |
| 18.45 | 100 | 1 1 0 |
| 25.96 | 75 | 0 4 0 |
| 26.08 | 41 | 1 3 0 |
| 31.84 | 28 | 0 4 1 |
| 31.94 | 16 | 1 3 1 |
| 37.13 | 15 | 1 5 0 |
| 37.39 | 15 | 2 2 0 |
| 45.55 | 21 | 0 4 2 |

---

Record 12
# CuC
Calculated PXRD pattern, CuKα. Input: DFT lattice parameters and positions (PBE).
No peak broadening, texture or thermal motion is included.

Atomic structure:
```
data_CuC
_cell_length_a 2.4663
_cell_length_b 2.4663
_cell_length_c 9.5292
_cell_angle_alpha 90.00
_cell_angle_beta 90.00
_cell_angle_gamma 120.00
_symmetry_space_group_name_H-M 'P -3 m 1'
_symmetry_Int_Tables_number 164
_symmetry_space_group_name_Hall '-P 3 2"'
loop_
_atom_site_label
_atom_site_type_symbol
_atom_site_fract_x
_atom_site_fract_y
_atom_site_fract_z
Cu1 Cu 0.3333 0.6667 0.1156
C1 C 0.3333 0.6667 0.5000
```

Principal peaks in the range 2θ from 5° to 70°, in order of rising 2θ:
| Position (°2θ) | Rel. int. | hkl |
| --- | --- | --- |
| 9.28 | 100 | 0 0 1 |
| 18.62 | 7 | 0 0 2 |
| 28.09 | 15 | 0 0 3 |
| 37.76 | 8 | 0 0 4 |
| 42.32 | 8 | 1 0 0 |
| 43.42 | 20 | 1 0 1 |
| 46.60 | 29 | 1 0 2 |
| 47.72 | 6 | 0 0 5 |
| 51.56 | 18 | 0 1 3 |
| 65.66 | 5 | 1 0 5 |

---

Record 13
# Cu4C
Calculated PXRD pattern, CuKα. Input: DFT lattice parameters and positions (PBE).
No peak broadening, texture or thermal motion is included.

Atomic structure:
```
data_Cu4C
_cell_length_a 3.848
_cell_length_b 3.848
_cell_length_c 3.848
_cell_angle_alpha 90.00
_cell_angle_beta 90.00
_cell_angle_gamma 90.00
_symmetry_space_group_name_H-M 'P m -3 m'
_symmetry_Int_Tables_number 221
_symmetry_space_group_name_Hall '-P 4 2 3'
loop_
_atom_site_label
_atom_site_type_symbol
_atom_site_fract_x
_atom_site_fract_y
_atom_site_fract_z
Cu1 Cu 0.000 0.000 0.000
Cu2 Cu 0.000 0.500 0.500
C1 C 0.500 0.500 0.500
```

Principal peaks in the range 2θ from 5° to 70°, in order of rising 2θ:
| Position (°2θ) | Rel. int. | hkl |
| --- | --- | --- |
| 23.11 | 1 | 1 0 0 |
| 40.61 | 100 | 1 1 1 |
| 47.24 | 54 | 2 0 0 |
| 69.04 | 31 | 2 2 0 |

---

Record 14
# Cu3C2
Calculated PXRD pattern, CuKα. Input: DFT lattice parameters and positions (PBE).
No peak broadening, texture or thermal motion is included.

Atomic structure:
```
data_Cu3C2
_cell_length_a 10.294
_cell_length_b 11.296
_cell_length_c 3.584
_cell_angle_alpha 90.00
_cell_angle_beta 90.00
_cell_angle_gamma 90.00
_symmetry_space_group_name_H-M 'F d d 2'
_symmetry_Int_Tables_number 43
_symmetry_space_group_name_Hall 'F 2 -2d'
loop_
_atom_site_label
_atom_site_type_symbol
_atom_site_fract_x
_atom_site_fract_y
_atom_site_fract_z
Cu1 Cu 0.000 0.000 0.000
Cu2 Cu 0.024 0.332 0.046
C1 C 0.076 0.162 0.070
```

Principal peaks in the range 2θ from 5° to 70°, in order of rising 2θ:
| Position (°2θ) | Rel. int. | hkl |
| --- | --- | --- |
| 27.51 | 13 | 1 1 1 |
| 34.86 | 48 | 4 0 0 |
| 35.67 | 100 | 1 3 1 |
| 37.14 | 7 | 3 1 1 |
| 38.44 | 6 | 4 2 0 |
| 43.73 | 57 | 3 3 1 |
| 51.70 | 42 | 2 6 0 |
| 51.85 | 12 | 5 1 1 |
| 54.20 | 33 | 2 0 2 |
| 57.10 | 22 | 5 3 1 |